Simulated powder X-ray diffraction pattern of La12AlCo7 for a wavelength of 1.5418 Å, from a cell relaxed with GGA-PBE.
Peak positions follow from Bragg's law for the DFT cell and can differ from measured ones.

Most intense lines, 2θ = 10–90°, by angle:
index, d/Å, 2θ (°), Rel. int.
3 -1 1, 4.195, 21.18, 13
4 -3 1, 3.252, 27.42, 66
0 0 3, 2.963, 30.16, 29
3 1 2, 2.747, 32.60, 100
0 3 3, 2.421, 37.14, 13
2 2 3, 2.297, 39.22, 16
6 -1 1, 2.193, 41.16, 11
2 5 0, 2.017, 44.94, 51
2 5 3, 1.668, 55.06, 23
8 -6 2, 1.626, 56.61, 14

Cell and atoms:
Unit cell a=14.5513 b=14.5513 c=8.8804 alpha=90.00 beta=90.00 gamma=120.00
Space group R-3 (No. 148, hexagonal axes)
Symmetry-distinct sites (fractional):
La (0.0052, 0.4334, 0.3258) x18
La (0.0415, 0.1615, 0.2839) x18
Al (0.0000, 0.0000, 0.0000) x3
Co (0.0000, 0.0000, 0.5000) x3
Co (0.0447, 0.1807, 0.9167) x18

Simulated powder X-ray diffraction pattern of La2Al2Co15 for a wavelength of 1.5418 Å, from a cell relaxed with GGA-PBE.
Peak positions follow from Bragg's law for the DFT cell and can differ from measured ones.

Most intense lines, 2θ = 10–90°, by angle:
index, d/Å, 2θ (°), Rel. int.
1 1 3, 2.949, 30.31, 35
2 1 1, 2.698, 33.21, 22
3 0 0, 2.438, 36.87, 28
0 2 4, 2.360, 38.13, 39
2 2 0, 2.111, 42.83, 61
3 0 3, 2.098, 43.11, 100
0 0 6, 2.060, 43.95, 54
2 2 3, 1.879, 48.44, 30
2 1 7, 1.488, 62.40, 31
2 2 6, 1.475, 63.04, 29

Cell and atoms:
Unit cell a=8.4457 b=8.4457 c=12.3609 alpha=90.00 beta=90.00 gamma=120.00
Space group R-3m (No. 166, hexagonal axes)
Symmetry-distinct sites (fractional):
La (0.0000, 0.0000, 0.1459) x6
Al (0.0000, 0.0000, 0.3950) x6
Co (0.0000, 0.2822, 0.5000) x18
Co (0.0000, 0.5000, 0.0000) x9
Co (0.0070, 0.5035, 0.3496) x18

Simulated powder X-ray diffraction pattern of La3AlCoS7 for a wavelength of 1.5418 Å, from a cell relaxed with GGA-PBE.
Peak positions follow from Bragg's law for the DFT cell and can differ from measured ones.

Most intense lines, 2θ = 10–90°, by angle:
index, d/Å, 2θ (°), Rel. int.
1 0 1, 5.047, 17.57, 39
2 0 1, 3.560, 25.02, 100
1 2 0, 3.287, 27.13, 30
3 0 1, 2.626, 34.15, 36
2 0 2, 2.524, 35.57, 36
2 2 0, 2.511, 35.77, 35
1 2 2, 2.255, 39.99, 32
3 1 1, 2.248, 40.12, 32
2 0 3, 1.866, 48.80, 23
3 4 2, 1.297, 72.91, 23

Cell and atoms:
Unit cell a=10.0420 b=10.0420 c=6.1977 alpha=90.00 beta=90.00 gamma=120.00
Space group P6_3 (No. 173)
Symmetry-distinct sites (fractional):
La (0.1487, 0.3727, 0.0000) x6
Al (0.3333, 0.6667, 0.4234) x2
Co (0.0000, 0.0000, 0.3337) x2
S (0.0861, 0.2119, 0.5852) x6
S (0.0963, 0.5750, 0.2813) x6
S (0.3333, 0.6667, 0.7836) x2